Entry 1:
This entry pairs a crystal structure of ZnAg2Au5 with its theoretical powder diffractogram. Radiation: a wavelength of 1.5418 Å. Structure: a PBE-relaxed structure.

Largest 12 diffraction maxima, in order of rising 2θ, 2θ = 10–90°:
- 2θ = 37.66°, d 2.388, intensity 100
- 2θ = 37.78°, d 2.381, intensity 98
- 2θ = 43.59°, d 2.077, intensity 65
- 2θ = 44.33°, d 2.043, intensity 32
- 2θ = 63.17°, d 1.472, intensity 10
- 2θ = 63.51°, d 1.465, intensity 10
- 2θ = 63.92°, d 1.456, intensity 41
- 2θ = 76.02°, d 1.252, intensity 24
- 2θ = 76.25°, d 1.249, intensity 23
- 2θ = 77.20°, d 1.236, intensity 25
- 2θ = 80.41°, d 1.194, intensity 11
- 2θ = 80.72°, d 1.190, intensity 11

Structure:
```
ZnAg2Au5
1.0
5.859 0.000 0.000
0.000 11.774 0.000
0.000 0.000 4.087
Zn Ag Au
2 4 10
Cartesian
0.000 0.000 0.000 Zn
2.930 5.887 0.000 Zn
1.380 4.385 2.043 Ag
1.550 10.273 2.043 Ag
4.309 1.502 2.043 Ag
4.480 7.389 2.043 Ag
0.000 5.887 0.000 Au
0.071 8.905 0.000 Au
1.360 1.374 2.043 Au
1.569 7.261 2.043 Au
2.859 3.018 0.000 Au
2.930 0.000 0.000 Au
3.000 8.757 0.000 Au
4.290 4.514 2.043 Au
4.499 10.401 2.043 Au
5.789 2.870 0.000 Au
```

***

Entry 2:
This entry pairs a crystal structure of Zn4Ag3Au8 with its theoretical powder diffractogram. Radiation: a wavelength of 1.5418 Å. Structure: a PBE-relaxed structure.

Largest 12 diffraction maxima, in order of rising 2θ, 2θ = 10–90°:
- 2θ = 27.89°, d 3.199, intensity 25
- 2θ = 36.48°, d 2.463, intensity 40
- 2θ = 39.85°, d 2.262, intensity 100
- 2θ = 41.76°, d 2.163, intensity 11
- 2θ = 42.38°, d 2.133, intensity 8
- 2θ = 55.13°, d 1.666, intensity 11
- 2θ = 57.63°, d 1.600, intensity 9
- 2θ = 66.58°, d 1.405, intensity 7
- 2θ = 70.15°, d 1.341, intensity 14
- 2θ = 72.35°, d 1.306, intensity 16
- 2θ = 73.66°, d 1.286, intensity 10
- 2θ = 77.09°, d 1.237, intensity 12

Structure:
```
Zn4Ag3Au8
1.0
0.000 6.398 6.398
6.398 0.000 6.398
6.398 6.398 0.000
Zn Ag Au
8 6 16
Cartesian
0.000 0.000 0.000 Zn
3.199 3.199 0.000 Zn
3.199 0.000 3.199 Zn
6.398 3.199 3.199 Zn
0.000 3.199 3.199 Zn
3.199 6.398 3.199 Zn
3.199 3.199 6.398 Zn
6.398 6.398 6.398 Zn
6.398 6.398 2.752 Ag
6.398 2.752 6.398 Ag
10.045 6.398 6.398 Ag
2.752 6.398 6.398 Ag
6.398 10.045 6.398 Ag
6.398 6.398 10.045 Ag
7.925 4.872 4.872 Au
1.985 1.985 1.985 Au
4.414 4.414 1.985 Au
4.414 1.985 4.414 Au
4.872 4.872 4.872 Au
7.925 7.925 4.872 Au
7.925 4.872 7.925 Au
10.812 8.383 8.383 Au
1.985 4.414 4.414 Au
4.872 7.925 4.872 Au
4.872 4.872 7.925 Au
7.925 7.925 7.925 Au
8.383 10.812 8.383 Au
8.383 8.383 10.812 Au
10.812 10.812 10.812 Au
4.872 7.925 7.925 Au
```

***

Entry 3:
This entry pairs a crystal structure of ZnAgAu6 with its theoretical powder diffractogram. Radiation: a wavelength of 1.5418 Å. Structure: a PBE-relaxed structure.

Largest 12 diffraction maxima, in order of rising 2θ, 2θ = 10–90°:
- 2θ = 27.18°, d 3.281, intensity 60
- 2θ = 28.54°, d 3.128, intensity 66
- 2θ = 37.20°, d 2.417, intensity 89
- 2θ = 39.07°, d 2.306, intensity 27
- 2θ = 40.56°, d 2.224, intensity 100
- 2θ = 46.02°, d 1.972, intensity 24
- 2θ = 49.92°, d 1.827, intensity 46
- 2θ = 52.23°, d 1.752, intensity 18
- 2θ = 71.79°, d 1.315, intensity 27
- 2θ = 74.44°, d 1.274, intensity 16
- 2θ = 74.77°, d 1.270, intensity 18
- 2θ = 79.95°, d 1.200, intensity 17

Structure:
```
ZnAgAu6
1.0
3.809 2.199 3.281
-3.809 2.199 3.281
0.000 -4.398 3.281
Zn Ag Au
1 1 6
Cartesian
0.000 0.000 0.000 Zn
0.000 0.000 4.921 Ag
-2.401 -1.386 4.542 Au
0.000 -2.773 5.301 Au
-2.401 1.386 5.301 Au
2.401 -1.386 4.542 Au
0.000 2.773 4.542 Au
2.401 1.386 5.301 Au
```